For TcOs4Ru, a DFT-relaxed cell (PBE, Alexandria) gives the computed powder diffractogram in this record (Cu Kα).

Cell: 8.618 3.853 5.452 Å, 90.00 108.59 90.00°
Fractional coordinates of all 12 atoms:
Tc (0.000, 0.000, 0.000)
Tc (0.500, 0.500, 0.000)
Os (0.167, 0.500, 0.333)
Os (0.167, 0.500, 0.833)
Os (0.333, 0.000, 0.167)
Os (0.333, 0.000, 0.667)
Os (0.667, 0.000, 0.333)
Os (0.667, 0.000, 0.833)
Os (0.833, 0.500, 0.167)
Os (0.833, 0.500, 0.667)
Ru (0.000, 0.000, 0.500)
Ru (0.500, 0.500, 0.500)

Main lines, in order of rising 2θ (2θ = 10–90°):
hkl, two_theta, intensity
3 1 0, 40.55, 100
0 2 0, 47.14, 33
2 0 2, 47.24, 16
4 2 -2, 68.88, 16
6 0 0, 68.98, 16
7 1 -2, 83.05, 13
3 3 0, 83.17, 19
6 2 0, 87.75, 11